Diffraction record for Rb3Cd2P2. The powder XRD pattern is theoretical, not measured: it uses a DFT-relaxed cell (PBE, Alexandria) and Cu Kα (weighted mean of Kα1 and Kα2).
Peak positions follow from Bragg's law for the DFT cell and can differ from measured ones.

Structural model:
Cell lengths 6.7490, 9.6409, 14.3136 Å; angles 90.00, 90.00, 90.00 degrees
Space group Pbcm (No. 57)
Inequivalent atoms, fractional coordinates:
Rb1 0.1045 0.1599 0.1146 (multiplicity 8)
Rb2 0.3333 0.7057 0.7500 (multiplicity 4)
Cd1 0.3783 0.0089 0.5861 (multiplicity 8)
P1 0.2047 0.0478 0.7500 (multiplicity 4)
P2 0.4209 0.7500 0.0000 (multiplicity 4)

Most intense lines, 2θ from 10° to 90°, in order of rising 2θ:
2θ (°)  I (rel.)  index
22.7  19  1 2 0
28.0  27  2 1 0
29.7  25  1 1 4
31.5  37  1 3 1
33.9  100  2 1 3
53.3  21  3 3 3



Diffraction record for NaAgC2N2. The powder XRD pattern is theoretical, not measured: it uses a DFT-relaxed cell (PBE, Alexandria) and Cu Kα (weighted mean of Kα1 and Kα2).
Peak positions follow from Bragg's law for the DFT cell and can differ from measured ones.

Structural model:
Cell lengths 6.5677, 3.7923, 18.2298 Å; angles 90.00, 96.44, 90.00 degrees
Space group C2/c (No. 15)
Inequivalent atoms, fractional coordinates:
Na1 0.0000 0.1395 0.2500 (multiplicity 4)
Ag1 0.2500 0.2500 0.0000 (multiplicity 4)
C1 0.2116 0.3268 0.8880 (multiplicity 8)
N1 0.1895 0.3668 0.8238 (multiplicity 8)

Most intense lines, 2θ from 10° to 90°, in order of rising 2θ:
2θ (°)  I (rel.)  index
19.6  39  0 0 4
27.4  80  2 0 0
28.0  100  2 0 -2
30.3  27  1 1 -3
38.0  24  1 1 5
48.0  23  3 1 -1